Record 1
Starting from a cell relaxed with PBE, the X-ray powder pattern of Co7As was simulated for λ = 1.5418 Å (Cu Kα).
Kinematic intensities with the Lorentz-polarization factor, no thermal factor.

Structural model:
```
data_Co7As
_cell_length_a 7.080
_cell_length_b 7.080
_cell_length_c 7.080
_cell_angle_alpha 90.00
_cell_angle_beta 90.00
_cell_angle_gamma 90.00
_symmetry_space_group_name_H-M 'F m -3 m'
_symmetry_Int_Tables_number 225
_symmetry_space_group_name_Hall '-F 4 2 3'
loop_
_atom_site_label
_atom_site_fract_x
_atom_site_fract_y
_atom_site_fract_z
_atom_site_occupancy
Co1 0.000 0.000 0.000 1
Co2 0.000 0.250 0.250 1
As1 0.000 0.000 0.500 1
```

Top 4 peaks for 2θ from 10° to 90°, by angle:
2theta  I_rel  hkl
21.74  1  1 1 1
44.32  100  2 2 2
51.64  46  4 0 0
76.04  27  4 4 0

Record 2
Starting from a cell relaxed with PBE, the X-ray powder pattern of CoAs was simulated for λ = 1.5418 Å (Cu Kα).
Kinematic intensities with the Lorentz-polarization factor, no thermal factor.

Structural model:
```
data_CoAs
_cell_length_a 3.222
_cell_length_b 10.752
_cell_length_c 5.352
_cell_angle_alpha 90.00
_cell_angle_beta 90.00
_cell_angle_gamma 90.00
_symmetry_space_group_name_H-M 'A m m 2'
_symmetry_Int_Tables_number 38
loop_
_symmetry_equiv_pos_as_xyz
'x,y,z'
'-x,-y,z'
'-x,y,z'
'x,-y,z'
'x,y+1/2,z+1/2'
'-x,-y+1/2,z+1/2'
'-x,y+1/2,z+1/2'
'x,-y+1/2,z+1/2'
loop_
_atom_site_label
_atom_site_fract_x
_atom_site_fract_y
_atom_site_fract_z
_atom_site_occupancy
Co1 0.000 0.000 0.000 1
Co2 0.500 0.194 0.099 1
As1 0.000 0.175 0.765 1
As2 0.500 0.000 0.308 1
```

Top 10 peaks for 2θ from 10° to 90°, by angle:
2theta  I_rel  hkl
18.52  43  0 1 1
30.01  59  0 3 1
33.51  100  1 1 1
41.28  74  1 3 1
47.28  88  1 2 2
50.96  26  0 6 0
54.06  45  1 5 1
57.17  26  2 0 0
57.72  35  0 3 3
85.63  22  2 3 3

Record 3
Starting from a cell relaxed with PBE, the X-ray powder pattern of CrCoAs6 was simulated for λ = 1.5418 Å (Cu Kα).
Kinematic intensities with the Lorentz-polarization factor, no thermal factor.

Structural model:
```
data_CrCoAs6
_cell_length_a 7.180
_cell_length_b 8.292
_cell_length_c 5.570
_cell_angle_alpha 90.00
_cell_angle_beta 90.72
_cell_angle_gamma 90.00
_symmetry_space_group_name_H-M 'C 1 2 1'
_symmetry_Int_Tables_number 5
loop_
_symmetry_equiv_pos_as_xyz
'x,y,z'
'-x,y,-z'
'x+1/2,y+1/2,z'
'-x+1/2,y+1/2,-z'
loop_
_atom_site_label
_atom_site_fract_x
_atom_site_fract_y
_atom_site_fract_z
_atom_site_occupancy
Cr1 0.000 0.000 0.000 1
Co1 0.000 0.995 0.500 1
As1 0.003 0.243 0.258 1
As2 0.158 0.818 0.247 1
As3 0.222 0.503 0.254 1
```

Top 10 peaks for 2θ from 10° to 90°, by angle:
2theta  I_rel  hkl
16.33  100  1 1 0
22.77  52  1 1 -1
22.99  39  1 1 1
32.14  48  0 0 2
38.39  40  1 3 -1
38.53  35  1 3 1
39.18  48  3 1 0
46.50  39  2 2 -2
46.97  39  2 2 2
50.44  30  3 3 0

Record 4
Starting from a cell relaxed with PBE, the X-ray powder pattern of CoCuAs4 was simulated for λ = 1.5418 Å (Cu Kα).
Kinematic intensities with the Lorentz-polarization factor, no thermal factor.

Structural model:
```
data_CoCuAs4
_cell_length_a 7.660
_cell_length_b 7.660
_cell_length_c 7.660
_cell_angle_alpha 90.00
_cell_angle_beta 90.00
_cell_angle_gamma 90.00
_symmetry_space_group_name_H-M 'F -4 3 m'
_symmetry_Int_Tables_number 216
_symmetry_space_group_name_Hall 'F -4 2 3'
loop_
_atom_site_label
_atom_site_fract_x
_atom_site_fract_y
_atom_site_fract_z
_atom_site_occupancy
Co1 0.000 0.000 0.000 1
Cu1 0.250 0.250 0.750 1
As1 0.125 0.125 0.375 1
```

Top 10 peaks for 2θ from 10° to 90°, by angle:
2theta  I_rel  hkl
20.08  12  1 1 1
33.08  22  2 2 0
39.00  100  3 1 1
40.81  46  2 2 2
47.48  7  4 0 0
59.08  8  4 2 2
63.06  31  5 1 1
69.41  27  4 4 0
82.60  11  5 3 3
83.77  17  6 2 2